Theoretical powder diffractogram of TlTe for a wavelength of 1.5418 Å, from DFT lattice parameters and positions (GGA-PBE).

Structure:
a = 5.5506 Å, b = 5.5506 Å, c = 6.0170 Å
α = 90.00°, β = 90.00°, γ = 120.61°
Element x y z (fractional)
Tl: 0.1679 0.8321 0.7500
Tl: 0.8321 0.1679 0.2500
Te: 0.5000 0.5000 0.0000
Te: 0.5000 0.5000 0.5000

Largest 6 diffraction maxima, sorted by position, 15 to 90 degrees two-theta:
Position (°2θ)  d (Å)  intensity
23.65  3.763  49
23.78  3.741  100
32.26  2.775  81
32.56  2.750  40
35.22  2.548  92
48.67  1.871  25

Theoretical powder diffractogram of Li2PrMg2Tl2 for a wavelength of 1.5418 Å, from DFT lattice parameters and positions (GGA-PBE).

Structure:
a = 8.7815 Å, b = 8.7815 Å, c = 8.7815 Å
α = 31.88°, β = 31.88°, γ = 31.88°
Element x y z (fractional)
Li: 0.0704 0.0704 0.0704
Li: 0.9296 0.9296 0.9296
Pr: 0.5000 0.5000 0.5000
Mg: 0.3630 0.3630 0.3630
Mg: 0.6370 0.6370 0.6370
Tl: 0.2405 0.2405 0.2405
Tl: 0.7595 0.7595 0.7595

Largest 6 diffraction maxima, sorted by position, 15 to 90 degrees two-theta:
Position (°2θ)  d (Å)  intensity
22.44  3.962  39
25.65  3.472  100
33.01  2.714  31
35.90  2.501  52
37.28  2.412  61
45.81  1.981  22

Theoretical powder diffractogram of K8SnTe6 for a wavelength of 1.5418 Å, from DFT lattice parameters and positions (GGA-PBE).

Structure:
a = 10.5561 Å, b = 9.5463 Å, c = 13.3119 Å
α = 90.00°, β = 90.00°, γ = 90.00°
Element x y z (fractional)
K: 0.0000 0.1455 0.0000
K: 0.0000 0.1862 0.5097
K: 0.1728 0.5138 0.1481
K: 0.1822 0.6851 0.8488
K: 0.1943 0.9345 0.2325
K: 0.3057 0.0655 0.7325
K: 0.3178 0.3149 0.3488
K: 0.3272 0.4862 0.6481
K: 0.5000 0.8138 0.0097
K: 0.5000 0.8545 0.5000
K: 0.6728 0.4862 0.6481
K: 0.6822 0.3149 0.3488
K: 0.6943 0.0655 0.7325
K: 0.8057 0.9345 0.2325
K: 0.8178 0.6851 0.8488
K: 0.8272 0.5138 0.1481
Sn: 0.0000 0.6822 0.5418
Sn: 0.5000 0.3178 0.0418
Te: 0.0000 0.2310 0.2590
Te: 0.0000 0.4579 0.6811
Te: 0.0000 0.7892 0.0494
Te: 0.0000 0.9112 0.6756
Te: 0.2179 0.6682 0.4230
Te: 0.2821 0.3318 0.9230
Te: 0.5000 0.0888 0.1756
Te: 0.5000 0.2108 0.5494
Te: 0.5000 0.5421 0.1811
Te: 0.5000 0.7690 0.7590
Te: 0.7179 0.3318 0.9230
Te: 0.7821 0.6682 0.4230

Largest 6 diffraction maxima, sorted by position, 15 to 90 degrees two-theta:
Position (°2θ)  d (Å)  intensity
18.29  4.850  51
20.35  4.364  46
21.49  4.135  100
22.93  3.879  44
32.33  2.769  95
37.08  2.425  39

Theoretical powder diffractogram of Nd2Sn4Bi for a wavelength of 1.5418 Å, from DFT lattice parameters and positions (GGA-PBE).

Structure:
a = 6.7039 Å, b = 6.7039 Å, c = 6.7165 Å
α = 119.83°, β = 119.83°, γ = 90.01°
Element x y z (fractional)
Nd: 0.0000 0.5000 0.0000
Nd: 0.5000 0.0000 0.0000
Sn: 0.0000 0.0000 0.5000
Sn: 0.0000 0.5000 0.5000
Sn: 0.5000 0.0000 0.5000
Sn: 0.5000 0.5000 0.5000
Bi: 0.0000 0.0000 0.0000

Largest 6 diffraction maxima, sorted by position, 15 to 90 degrees two-theta:
Position (°2θ)  d (Å)  intensity
16.15  5.487  23
32.64  2.743  100
37.69  2.387  17
37.96  2.370  33
54.53  1.683  18
65.21  1.431  21

Theoretical powder diffractogram of CePmH for a wavelength of 1.5418 Å, from DFT lattice parameters and positions (GGA-PBE).

Structure:
a = 7.5413 Å, b = 7.5413 Å, c = 5.9160 Å
α = 90.00°, β = 90.00°, γ = 121.54°
Element x y z (fractional)
Ce: 0.1710 0.8290 0.7587
Ce: 0.3290 0.6710 0.2587
Ce: 0.6710 0.3290 0.7413
Ce: 0.8290 0.1710 0.2413
Pm: 0.1736 0.3264 0.7500
Pm: 0.3264 0.1736 0.2500
Pm: 0.6736 0.8264 0.7500
Pm: 0.8264 0.6736 0.2500
H: 0.1644 0.8356 0.1474
H: 0.3356 0.6644 0.6474
H: 0.6644 0.3356 0.3526
H: 0.8356 0.1644 0.8526

Largest 6 diffraction maxima, sorted by position, 15 to 90 degrees two-theta:
Position (°2θ)  d (Å)  intensity
27.76  3.214  33
30.21  2.958  42
31.10  2.876  66
31.69  2.824  100
41.49  2.176  22
58.03  1.589  25

Theoretical powder diffractogram of CeMnNb for a wavelength of 1.5418 Å, from DFT lattice parameters and positions (GGA-PBE).

Structure:
a = 3.9001 Å, b = 4.8433 Å, c = 6.4036 Å
α = 90.00°, β = 90.00°, γ = 90.00°
Element x y z (fractional)
Ce: 0.2500 0.2500 0.0969
Ce: 0.7500 0.7500 0.9031
Mn: 0.2500 0.7500 0.6712
Mn: 0.7500 0.2500 0.3288
Nb: 0.2500 0.2500 0.5911
Nb: 0.7500 0.7500 0.4088

Largest 6 diffraction maxima, sorted by position, 15 to 90 degrees two-theta:
Position (°2θ)  d (Å)  intensity
29.40  3.038  80
33.55  2.671  52
36.30  2.475  100
37.13  2.422  57
52.90  1.731  66
60.99  1.519  39

Theoretical powder diffractogram of SiHg2 for a wavelength of 1.5418 Å, from DFT lattice parameters and positions (GGA-PBE).

Structure:
a = 4.7644 Å, b = 3.8043 Å, c = 8.7565 Å
α = 90.00°, β = 105.37°, γ = 90.00°
Element x y z (fractional)
Si: 0.0395 0.2500 0.0824
Si: 0.9605 0.7500 0.9176
Hg: 0.2130 0.7500 0.4259
Hg: 0.4047 0.7500 0.8032
Hg: 0.5953 0.2500 0.1968
Hg: 0.7870 0.2500 0.5741

Largest 6 diffraction maxima, sorted by position, 15 to 90 degrees two-theta:
Position (°2θ)  d (Å)  intensity
30.53  2.928  100
31.66  2.826  48
32.38  2.765  36
32.61  2.746  35
37.76  2.382  29
39.84  2.263  21

Theoretical powder diffractogram of Ac2Tl2GaPd4 for a wavelength of 1.5418 Å, from DFT lattice parameters and positions (GGA-PBE).

Structure:
a = 6.6226 Å, b = 6.6226 Å, c = 6.6226 Å
α = 116.49°, β = 116.49°, γ = 96.19°
Element x y z (fractional)
Ac: 0.2500 0.7500 0.5000
Ac: 0.7500 0.2500 0.5000
Tl: 0.1761 0.1761 0.0000
Tl: 0.8239 0.8239 0.0000
Ga: 0.5000 0.5000 0.0000
Pd: 0.2469 0.2469 0.4938
Pd: 0.2469 0.7531 0.0000
Pd: 0.7531 0.2469 0.0000
Pd: 0.7531 0.7531 0.5062

Largest 6 diffraction maxima, sorted by position, 15 to 90 degrees two-theta:
Position (°2θ)  d (Å)  intensity
25.56  3.485  19
32.71  2.738  100
36.46  2.464  63
42.18  2.142  21
52.51  1.743  22
63.26  1.470  30

Theoretical powder diffractogram of YGa3Bi for a wavelength of 1.5418 Å, from DFT lattice parameters and positions (GGA-PBE).

Structure:
a = 5.3923 Å, b = 5.3923 Å, c = 5.3923 Å
α = 90.00°, β = 90.00°, γ = 90.00°
Element x y z (fractional)
Y: 0.0000 0.0000 0.0000
Ga: 0.0000 0.5000 0.5000
Ga: 0.5000 0.0000 0.5000
Ga: 0.5000 0.5000 0.0000
Bi: 0.5000 0.5000 0.5000

Largest 6 diffraction maxima, sorted by position, 15 to 90 degrees two-theta:
Position (°2θ)  d (Å)  intensity
16.44  5.392  70
23.33  3.813  90
33.23  2.696  100
37.29  2.412  40
41.00  2.201  42
47.70  1.906  72

Theoretical powder diffractogram of LiCu3O4 for a wavelength of 1.5418 Å, from DFT lattice parameters and positions (GGA-PBE).

Structure:
a = 5.7262 Å, b = 5.7262 Å, c = 6.3443 Å
α = 118.77°, β = 118.77°, γ = 85.31°
Element x y z (fractional)
Li: 0.0000 0.5000 0.0000
Li: 0.5000 0.0000 0.5000
Cu: 0.0000 0.0000 0.0000
Cu: 0.0000 0.0000 0.5000
Cu: 0.0000 0.5000 0.5000
Cu: 0.5000 0.0000 0.0000
Cu: 0.5000 0.5000 0.0000
Cu: 0.5000 0.5000 0.5000
O: 0.2007 0.7024 0.4506
O: 0.2181 0.2421 0.4045
O: 0.2421 0.2181 0.9045
O: 0.2976 0.7993 0.0494
O: 0.7024 0.2007 0.9506
O: 0.7579 0.7819 0.0955
O: 0.7819 0.7579 0.5955
O: 0.7993 0.2976 0.5494

Largest 6 diffraction maxima, sorted by position, 15 to 90 degrees two-theta:
Position (°2θ)  d (Å)  intensity
18.15  4.887  78
36.51  2.461  74
36.78  2.443  79
37.51  2.398  100
42.96  2.105  66
46.83  1.940  55

Theoretical powder diffractogram of CeIn3Te3 for a wavelength of 1.5418 Å, from DFT lattice parameters and positions (GGA-PBE).

Structure:
a = 10.9679 Å, b = 10.9679 Å, c = 10.9679 Å
α = 41.54°, β = 41.54°, γ = 41.54°
Element x y z (fractional)
Ce: 0.1661 0.1661 0.1661
Ce: 0.8339 0.8339 0.8339
In: 0.0501 0.7022 0.3733
In: 0.2979 0.6267 0.9499
In: 0.3733 0.0501 0.7021
In: 0.6267 0.9499 0.2979
In: 0.7021 0.3733 0.0501
In: 0.9499 0.2979 0.6267
Te: 0.0865 0.4384 0.7839
Te: 0.2161 0.9135 0.5616
Te: 0.4384 0.7839 0.0865
Te: 0.5616 0.2161 0.9135
Te: 0.7839 0.0865 0.4384
Te: 0.9135 0.5616 0.2161

Largest 6 diffraction maxima, sorted by position, 15 to 90 degrees two-theta:
Position (°2θ)  d (Å)  intensity
24.56  3.625  20
29.08  3.071  100
35.45  2.532  28
40.16  2.246  44
42.99  2.104  20
50.34  1.813  21

Theoretical powder diffractogram of LiMnRe2 for a wavelength of 1.5418 Å, from DFT lattice parameters and positions (GGA-PBE).

Structure:
a = 4.8546 Å, b = 4.8546 Å, c = 4.8546 Å
α = 135.90°, β = 135.90°, γ = 64.14°
Element x y z (fractional)
Li: 0.0000 0.0000 0.0000
Mn: 0.5000 0.5000 0.0000
Re: 0.2500 0.7500 0.5000
Re: 0.7500 0.2500 0.5000

Largest 6 diffraction maxima, sorted by position, 15 to 90 degrees two-theta:
Position (°2θ)  d (Å)  intensity
21.60  4.114  67
34.81  2.578  41
41.34  2.184  100
50.05  1.823  29
55.11  1.666  23
87.98  1.110  24